(1)
Starting from the GGA-PBE geometry in Alexandria, the X-ray diffraction stick pattern of GaNi2Bi2 was computed for copper Kα.
Intensities are scaled so that the largest is 100.

The 6 most intense peaks (5° ≤ 2θ ≤ 70°), by intensity:
- 36.6°, intensity 100
- 34.1°, intensity 28
- 41.6°, intensity 26
- 29.1°, intensity 24
- 60.0°, intensity 18
- 44.2°, intensity 17

Structure:
```
10
Lattice="6.858 0.000 0.000 0.000 6.858 0.000 0.000 0.000 4.100" Properties=species:S:1:pos:R:3 pbc="T T T"
Ga 0.000 0.000 0.000
Ga 3.429 3.429 0.000
Ni 0.928 2.502 0.000
Ni 2.502 5.931 0.000
Ni 4.357 0.928 0.000
Ni 5.931 4.357 0.000
Bi 1.160 4.589 2.050
Bi 2.269 1.160 2.050
Bi 4.589 5.698 2.050
Bi 5.698 2.269 2.050
```

(2)
Starting from the GGA-PBE geometry in Alexandria, the X-ray diffraction stick pattern of GaNiBi2W was computed for copper Kα.
Intensities are scaled so that the largest is 100.

The 6 most intense peaks (5° ≤ 2θ ≤ 70°), by intensity:
- 31.0°, intensity 100
- 35.2°, intensity 53
- 52.3°, intensity 35
- 60.6°, intensity 31
- 37.4°, intensity 23
- 50.7°, intensity 19

Structure:
```
5
Lattice="5.093 0.000 0.000 0.000 5.093 0.000 0.000 0.000 4.810" Properties=species:S:1:pos:R:3 pbc="T T T"
Ga 0.000 0.000 0.000
Ni 2.546 2.546 2.405
Bi 0.000 2.546 2.405
Bi 2.546 0.000 2.405
W 2.546 2.546 0.000
```

(3)
Starting from the GGA-PBE geometry in Alexandria, the X-ray diffraction stick pattern of Ga4Bi2O9 was computed for copper Kα.
Intensities are scaled so that the largest is 100.

The 6 most intense peaks (5° ≤ 2θ ≤ 70°), by intensity:
- 28.1°, intensity 100
- 28.8°, intensity 92
- 33.6°, intensity 53
- 56.4°, intensity 46
- 14.8°, intensity 37
- 46.9°, intensity 32

Structure:
```
60
Lattice="8.474 0.000 0.000 0.000 12.002 0.000 0.000 0.000 8.023" Properties=species:S:1:pos:R:3 pbc="T T T"
Ga 0.005 1.552 0.026
Ga 0.005 4.449 0.026
Ga 1.344 9.002 2.822
Ga 1.398 3.001 2.839
Ga 2.839 9.002 6.850
Ga 2.893 3.001 6.833
Ga 4.232 7.553 4.038
Ga 4.232 10.450 4.038
Ga 4.242 1.552 3.985
Ga 4.242 4.449 3.985
Ga 5.581 9.002 1.189
Ga 5.635 3.001 1.173
Ga 7.076 9.002 5.184
Ga 7.130 3.001 5.201
Ga 8.468 7.553 7.996
Ga 8.468 10.450 7.996
Bi 1.489 0.054 5.436
Bi 1.489 5.947 5.436
Bi 2.748 6.055 1.425
Bi 2.748 11.948 1.425
Bi 5.726 0.054 6.598
Bi 5.726 5.947 6.598
Bi 6.984 6.055 2.587
Bi 6.984 11.948 2.587
O 0.128 3.001 4.137
O 0.533 6.025 1.208
O 0.533 11.978 1.208
O 0.743 3.001 1.104
O 0.773 9.002 1.047
O 1.764 7.453 6.985
O 1.764 10.550 6.985
O 1.808 1.469 7.059
O 1.808 4.532 7.059
O 2.429 7.470 3.048
O 2.429 10.533 3.048
O 2.473 1.452 2.974
O 2.473 4.549 2.974
O 3.464 3.001 5.058
O 3.493 9.002 5.115
O 3.704 0.024 5.219
O 3.704 5.977 5.219
O 4.109 9.002 0.126
O 4.365 3.001 7.897
O 4.770 6.025 2.804
O 4.770 11.978 2.804
O 4.980 3.001 2.907
O 5.009 9.002 2.965
O 6.001 7.453 5.049
O 6.001 10.550 5.049
O 6.044 1.469 4.975
O 6.044 4.532 4.975
O 6.666 7.470 0.964
O 6.666 10.533 0.964
O 6.710 1.452 1.038
O 6.710 4.549 1.038
O 7.701 3.001 6.976
O 7.730 9.002 6.919
O 7.940 0.024 6.815
O 7.940 5.977 6.815
O 8.346 9.002 3.886
```

(4)
Starting from the GGA-PBE geometry in Alexandria, the X-ray diffraction stick pattern of Ga2BiO6 was computed for copper Kα.
Intensities are scaled so that the largest is 100.

The 6 most intense peaks (5° ≤ 2θ ≤ 70°), by intensity:
- 34.4°, intensity 100
- 23.0°, intensity 98
- 54.3°, intensity 93
- 36.5°, intensity 82
- 30.5°, intensity 79
- 28.2°, intensity 79

Structure:
```
27
Lattice="9.023 0.000 0.000 -4.512 7.815 0.000 0.000 0.000 4.437" Properties=species:S:1:pos:R:3 pbc="T T T"
Ga -1.587 2.749 0.000
Ga -3.124 5.411 2.219
Ga 1.387 2.403 2.219
Ga 3.174 0.000 0.000
Ga 2.925 5.066 0.000
Ga 6.249 0.000 2.219
Bi 0.000 0.000 0.000
Bi 0.000 5.210 2.238
Bi 4.512 2.605 2.199
O -1.657 4.406 1.127
O -0.111 1.819 1.095
O -2.881 7.002 1.095
O -1.582 6.112 3.339
O 0.010 3.388 3.339
O 1.631 0.813 3.342
O 2.930 1.703 1.098
O 1.524 4.177 1.127
O 0.132 7.046 1.127
O 2.855 3.409 3.311
O 4.644 0.768 3.311
O 1.572 6.129 3.339
O 2.992 6.808 1.095
O 6.084 1.686 1.098
O 4.521 4.426 1.098
O 4.400 5.995 3.342
O 7.504 1.006 3.342
O 6.036 3.638 3.311
```

(5)
Starting from the GGA-PBE geometry in Alexandria, the X-ray diffraction stick pattern of Ga4Bi2O9 was computed for copper Kα.
Intensities are scaled so that the largest is 100.

The 6 most intense peaks (5° ≤ 2θ ≤ 70°), by intensity:
- 28.1°, intensity 100
- 28.8°, intensity 91
- 33.6°, intensity 53
- 56.4°, intensity 46
- 14.8°, intensity 37
- 46.9°, intensity 31

Structure:
```
30
Lattice="8.030 0.000 0.000 0.000 8.467 0.000 0.000 0.000 6.003" Properties=species:S:1:pos:R:3 pbc="T T T"
Ga 0.000 0.000 1.449
Ga 0.000 0.000 4.554
Ga 1.186 2.861 0.000
Ga 2.829 7.094 0.000
Ga 4.015 4.233 1.449
Ga 4.015 4.233 4.554
Ga 5.201 1.373 0.000
Ga 6.844 5.606 0.000
Bi 1.424 5.715 3.002
Bi 2.591 1.482 3.002
Bi 5.439 6.985 3.002
Bi 6.606 2.751 3.002
O 0.000 4.233 0.000
O 1.007 1.780 1.540
O 1.007 1.780 4.463
O 1.072 7.704 0.000
O 1.207 7.929 3.002
O 2.808 3.696 3.002
O 2.943 3.470 0.000
O 3.008 6.013 1.540
O 3.008 6.013 4.463
O 4.015 0.000 0.000
O 5.022 2.453 1.540
O 5.022 2.453 4.463
O 5.087 4.996 0.000
O 5.222 4.770 3.002
O 6.823 0.537 3.002
O 6.958 0.763 0.000
O 7.023 6.687 1.540
O 7.023 6.687 4.463
```

(6)
Starting from the GGA-PBE geometry in Alexandria, the X-ray diffraction stick pattern of GaBiP2O was computed for copper Kα.
Intensities are scaled so that the largest is 100.

The 6 most intense peaks (5° ≤ 2θ ≤ 70°), by intensity:
- 30.0°, intensity 100
- 25.3°, intensity 60
- 47.6°, intensity 58
- 36.1°, intensity 57
- 35.1°, intensity 43
- 17.8°, intensity 31

Structure:
```
5
Lattice="4.976 0.000 0.000 0.000 4.976 0.000 0.000 0.000 3.719" Properties=species:S:1:pos:R:3 pbc="T T T"
Ga 0.000 0.000 0.000
Bi 2.488 2.488 1.859
P 0.000 2.488 0.000
P 2.488 0.000 0.000
O 0.000 0.000 1.859
```

(7)
Starting from the GGA-PBE geometry in Alexandria, the X-ray diffraction stick pattern of GaBiSe2O was computed for copper Kα.
Intensities are scaled so that the largest is 100.

The 6 most intense peaks (5° ≤ 2θ ≤ 70°), by intensity:
- 16.3°, intensity 100
- 14.7°, intensity 69
- 32.8°, intensity 57
- 44.9°, intensity 47
- 29.7°, intensity 37
- 34.1°, intensity 34

Structure:
```
5
Lattice="5.454 0.000 0.000 0.000 5.454 0.000 0.000 0.000 6.009" Properties=species:S:1:pos:R:3 pbc="T T T"
Ga 0.000 0.000 0.000
Bi 0.000 0.000 3.005
Se 0.000 2.727 3.005
Se 2.727 0.000 3.005
O 2.727 2.727 0.000
```